Entry 1:
Structure and calculated powder diffractogram of Ac3Cr (DFT lattice parameters and positions (PBE); Cu Ka).
No peak broadening, texture or thermal motion is included.

Atomic structure:
Cell: 5.3186 5.3186 5.3186 Å, 90.00 90.00 90.00°
Space group Pm-3m (No. 221)
Asymmetric unit:
Ac1 0.0000 0.0000 0.5000 [3 per cell]
Cr1 0.5000 0.5000 0.5000 [1 per cell]

Most intense lines, 15° ≤ 2θ ≤ 90°, in order of falling intensity:
2θ (°), I_rel, hkl
29.1, 1000, 1 1 1
33.7, 512, 2 0 0
57.5, 455, 3 1 1
48.4, 377, 2 2 0
78.4, 187, 3 3 1
80.8, 173, 4 2 0
16.7, 145, 1 0 0
60.3, 131, 2 2 2
23.7, 131, 1 1 0
37.8, 82, 2 1 0
41.6, 64, 2 1 1
70.9, 61, 4 0 0

Entry 2:
Structure and calculated powder diffractogram of Na2SiO8 (DFT lattice parameters and positions (PBE); Cu Ka).
No peak broadening, texture or thermal motion is included.

Atomic structure:
Cell: 5.0422 7.1185 9.1251 Å, 78.06 89.18 75.48°
Space group P-1 (No. 2)
Asymmetric unit:
Na1 0.1032 0.3277 0.4086 [2 per cell]
Na2 0.2483 0.9140 0.9008 [2 per cell]
Si1 0.3203 0.7665 0.2827 [2 per cell]
O1 0.1585 0.6358 0.3891 [2 per cell]
O2 0.2209 0.9525 0.1497 [2 per cell]
O3 0.2217 0.5694 0.0714 [2 per cell]
O4 0.3169 0.3893 0.1223 [2 per cell]
O5 0.3242 0.0408 0.6428 [2 per cell]
O6 0.3614 0.5892 0.7576 [2 per cell]
O7 0.4101 0.3933 0.8055 [2 per cell]
O8 0.4742 0.1710 0.5866 [2 per cell]

Most intense lines, 15° ≤ 2θ ≤ 90°, in order of falling intensity:
2θ (°), I_rel, hkl
36.6, 1000, -1 1 3
18.1, 762, 1 0 0
26.2, 754, 0 2 1
21.1, 493, 1 1 1
22.9, 484, 1 1 -1
29.5, 449, 1 1 -2
28.2, 425, 1 2 1
38.7, 358, 2 0 1
28.3, 345, 1 -1 1
47.8, 312, 2 2 3
43.3, 312, 1 1 4
36.9, 279, 2 0 0

Entry 3:
Structure and calculated powder diffractogram of Ba3Cr2S6 (DFT lattice parameters and positions (PBE); Cu Ka).
No peak broadening, texture or thermal motion is included.

Atomic structure:
Cell: 11.9373 11.9373 12.9334 Å, 90.00 90.00 120.00°
Space group R-3c (No. 167, hexagonal axes)
Asymmetric unit:
Ba1 0.0000 0.3850 0.2500 [18 per cell]
Cr1 0.0000 0.0000 0.0000 [6 per cell]
Cr2 0.0000 0.0000 0.2500 [6 per cell]
S1 0.0301 0.1691 0.3786 [36 per cell]

Most intense lines, 15° ≤ 2θ ≤ 90°, in order of falling intensity:
2θ (°), I_rel, hkl
25.5, 1000, 1 1 3
32.0, 741, 1 3 1
25.9, 670, 3 0 0
36.6, 604, 2 2 3
47.5, 340, 3 2 4
34.2, 281, 3 1 2
41.9, 263, 0 0 6
32.7, 234, 0 2 4
40.5, 213, 2 3 2
70.1, 209, 3 5 4
59.0, 179, 1 6 1
49.9, 167, 3 0 6

Entry 4:
Structure and calculated powder diffractogram of Ag3N (DFT lattice parameters and positions (PBE); Cu Ka).
No peak broadening, texture or thermal motion is included.

Atomic structure:
Cell: 3.9268 3.9268 8.1183 Å, 90.00 90.00 90.00°
Space group I4/mmm (No. 139)
Asymmetric unit:
Ag1 0.0000 0.0000 0.0000 [2 per cell]
Ag2 0.0000 0.5000 0.2500 [4 per cell]
N1 0.0000 0.0000 0.5000 [2 per cell]

Most intense lines, 15° ≤ 2θ ≤ 90°, in order of falling intensity:
2θ (°), I_rel, hkl
39.3, 1000, 1 1 2
46.2, 306, 2 0 0
25.2, 256, 1 0 1
81.0, 220, 3 1 2
66.2, 196, 2 0 4
44.6, 171, 0 0 4
78.7, 119, 1 1 6
84.6, 100, 2 2 4
67.5, 92, 2 2 0
21.9, 89, 0 0 2
40.5, 74, 1 0 3
32.2, 69, 1 1 0

Entry 5:
Structure and calculated powder diffractogram of PaPd3 (DFT lattice parameters and positions (PBE); Cu Ka).
No peak broadening, texture or thermal motion is included.

Atomic structure:
Cell: 5.7300 5.7300 5.0711 Å, 90.00 90.00 120.00°
Space group P6_3/mmc (No. 194)
Asymmetric unit:
Pa1 0.3333 0.6667 0.2500 [2 per cell]
Pd1 0.1645 0.3291 0.7500 [6 per cell]

Most intense lines, 15° ≤ 2θ ≤ 90°, in order of falling intensity:
2θ (°), I_rel, hkl
40.5, 1000, 2 0 1
35.4, 322, 0 0 2
36.2, 227, 2 0 0
67.0, 225, 2 0 3
76.4, 206, 2 2 2
51.5, 166, 2 0 2
65.1, 163, 2 2 0
25.1, 160, 1 0 1
79.5, 139, 4 0 1
31.2, 60, 1 1 0
17.9, 45, 1 0 0
52.0, 42, 2 1 1

Entry 6:
Structure and calculated powder diffractogram of MgTe2Mo2W2Se4S2 (DFT lattice parameters and positions (PBE); Cu Ka).
No peak broadening, texture or thermal motion is included.

Atomic structure:
Cell: 3.3375 3.3375 45.4640 Å, 90.00 90.00 120.00°
Space group P3m1 (No. 156)
Asymmetric unit:
Mg1 0.0000 0.0000 0.0000 [1 per cell]
Te1 0.6667 0.3333 0.6745 [1 per cell]
Te2 0.6667 0.3333 0.7579 [1 per cell]
Mo1 0.3333 0.6667 0.0981 [1 per cell]
Mo2 0.3333 0.6667 0.7162 [1 per cell]
W1 0.6667 0.3333 0.2803 [1 per cell]
W2 0.6667 0.3333 0.8961 [1 per cell]
Se1 0.3333 0.6667 0.2434 [1 per cell]
Se2 0.3333 0.6667 0.3172 [1 per cell]
Se3 0.6667 0.3333 0.0609 [1 per cell]
Se4 0.6667 0.3333 0.1348 [1 per cell]
S1 0.3333 0.6667 0.8627 [1 per cell]
S2 0.3333 0.6667 0.9297 [1 per cell]

Most intense lines, 15° ≤ 2θ ≤ 90°, in order of falling intensity:
2θ (°), I_rel, hkl
40.5, 1000, 0 1 13
34.8, 809, 0 1 8
30.9, 604, 1 0 0
36.8, 393, 1 0 10
55.0, 392, 1 1 0
32.5, 392, 1 0 5
43.3, 310, 1 0 15
56.0, 220, 1 1 5
70.5, 196, 2 0 13
47.8, 194, 0 1 18
41.8, 193, 0 1 14
15.6, 178, 0 0 8

Entry 7:
Structure and calculated powder diffractogram of Ba2GdBiO6 (DFT lattice parameters and positions (PBE); Cu Ka).
No peak broadening, texture or thermal motion is included.

Atomic structure:
Cell: 8.7693 8.7693 8.7693 Å, 90.00 90.00 90.00°
Space group Fm-3m (No. 225)
Asymmetric unit:
Ba1 0.2500 0.2500 0.2500 [8 per cell]
Gd1 0.0000 0.0000 0.0000 [4 per cell]
Bi1 0.0000 0.0000 0.5000 [4 per cell]
O1 0.0000 0.0000 0.2571 [24 per cell]

Most intense lines, 15° ≤ 2θ ≤ 90°, in order of falling intensity:
2θ (°), I_rel, hkl
28.8, 1000, 2 2 0
51.0, 421, 4 2 2
41.2, 285, 4 0 0
82.3, 224, 6 4 2
67.6, 187, 6 2 0
59.6, 184, 4 4 0
75.0, 62, 4 4 4
20.3, 59, 2 0 0
89.4, 31, 8 0 0
46.3, 28, 4 2 0
17.5, 18, 1 1 1
63.7, 13, 6 0 0